# 1
Simulated powder XRD pattern
Compound: NiSbWI2
Radiation: a wavelength of 1.5418 Å
Structure: a crystal structure in Alexandria, relaxed with PBE

Structure:
Cell: 5.1053 5.1053 5.0866 Å, 90.00 90.00 90.00°
Space group P4/mmm (No. 123)
Asymmetric unit:
Ni1 0.0000 0.0000 0.0000
Sb1 0.0000 0.0000 0.5000
W1 0.5000 0.5000 0.5000
I1 0.0000 0.5000 0.0000

Peak list (10 most intense, 2θ from 15° to 90°, sorted by position)
2θ/deg  Rel. int.  h k l
24.7  16  1 0 1
30.4  100  1 1 1
35.2  54  2 0 0
35.3  27  0 0 2
50.6  57  2 2 0
60.1  29  3 1 1
60.3  14  1 1 3
63.2  19  2 2 2
82.5  12  3 1 3
85.0  17  4 2 0

# 2
Simulated powder XRD pattern
Compound: Sc6CdRh2
Radiation: a wavelength of 1.5418 Å
Structure: a crystal structure in Alexandria, relaxed with PBE

Structure:
Cell: 8.7939 8.8880 9.7946 Å, 90.00 90.00 90.00°
Space group Immm (No. 71)
Asymmetric unit:
Sc1 0.0000 0.2046 0.2396
Sc2 0.2019 0.5000 0.1736
Sc3 0.2131 0.3142 0.5000
Cd1 0.0000 0.0000 0.0000
Cd2 0.0000 0.0000 0.5000
Rh1 0.0000 0.3369 0.0000
Rh2 0.0000 0.5000 0.3635

Peak list (10 most intense, 2θ from 15° to 90°, sorted by position)
2θ/deg  Rel. int.  h k l
18.1  31  0 0 2
20.2  71  2 0 0
34.0  55  2 2 2
35.7  64  2 1 3
36.9  100  1 3 2
37.7  64  2 3 1
37.9  31  3 2 1
41.1  41  4 0 0
49.4  31  1 3 4
64.5  33  5 3 2

# 3
Simulated powder XRD pattern
Compound: Ce6PuHg5
Radiation: a wavelength of 1.5418 Å
Structure: a crystal structure in Alexandria, relaxed with PBE

Structure:
Cell: 16.8562 7.1523 5.5607 Å, 90.00 106.42 90.00°
Space group C2/m (No. 12)
Asymmetric unit:
Ce1 0.0000 0.2467 0.0000
Ce2 0.1734 0.2480 0.5940
Pu1 0.0000 0.5000 0.5000
Hg1 0.0000 0.0000 0.5000
Hg2 0.1640 0.5000 0.0838
Hg3 0.1691 0.0000 0.0844

Peak list (10 most intense, 2θ from 15° to 90°, sorted by position)
2θ/deg  Rel. int.  h k l
30.4  18  2 2 -1
32.2  31  2 0 -2
33.2  59  6 0 0
33.6  24  0 0 2
33.7  100  2 2 1
34.5  88  4 2 -1
51.1  18  0 4 0
56.5  23  4 2 -3
59.2  21  8 2 1
62.3  20  6 4 0

# 4
Simulated powder XRD pattern
Compound: Pr3Be2AlPd9
Radiation: a wavelength of 1.5418 Å
Structure: a crystal structure in Alexandria, relaxed with PBE

Structure:
Cell: 5.9449 5.9449 9.1225 Å, 90.00 90.00 120.00°
Space group P-3m1 (No. 164)
Asymmetric unit:
Pr1 0.0000 0.0000 0.0000
Pr2 0.3333 0.6667 0.6565
Be1 0.3333 0.6667 0.1522
Al1 0.0000 0.0000 0.5000
Pd1 0.0000 0.5000 0.0000
Pd2 0.1635 0.3270 0.2970

Peak list (10 most intense, 2θ from 15° to 90°, sorted by position)
2θ/deg  Rel. int.  h k l
29.4  47  0 0 3
36.3  100  0 2 1
40.2  80  2 0 2
53.7  25  0 2 4
62.4  15  2 0 5
62.5  23  2 2 0
70.5  22  2 2 3
74.4  12  4 0 1
77.0  12  0 4 2
86.9  6  4 0 4

# 5
Simulated powder XRD pattern
Compound: YErTlSe
Radiation: a wavelength of 1.5418 Å
Structure: a crystal structure in Alexandria, relaxed with PBE

Structure:
Cell: 3.8229 3.8229 8.3990 Å, 90.00 90.00 120.00°
Space group P3m1 (No. 156)
Asymmetric unit:
Y1 0.0000 0.0000 0.0000
Er1 0.3333 0.6667 0.5666
Tl1 0.6667 0.3333 0.2858
Se1 0.6667 0.3333 0.7810

Peak list (10 most intense, 2θ from 15° to 90°, sorted by position)
2θ/deg  Rel. int.  h k l
26.9  15  1 0 0
29.0  65  1 0 1
34.5  100  0 1 2
42.3  13  0 1 3
43.1  11  0 0 4
47.6  34  1 1 0
51.5  13  1 0 4
60.1  20  2 0 2
66.1  19  1 1 4
80.0  19  1 2 2

# 6
Simulated powder XRD pattern
Compound: Pr3Zn2Pd5
Radiation: a wavelength of 1.5418 Å
Structure: a crystal structure in Alexandria, relaxed with PBE

Structure:
Cell: 10.1833 10.1833 3.9536 Å, 90.00 90.00 90.00°
Space group P4/mbm (No. 127)
Asymmetric unit:
Pr1 0.0000 0.0000 0.0000
Pr2 0.1777 0.3223 0.0000
Zn1 0.1161 0.6161 0.0000
Pd1 0.0000 0.5000 0.5000
Pd2 0.0689 0.7805 0.5000

Peak list (10 most intense, 2θ from 15° to 90°, sorted by position)
2θ/deg  Rel. int.  h k l
29.9  32  2 1 1
33.7  35  2 2 1
36.0  100  3 1 1
36.4  51  4 1 0
39.2  40  3 2 1
39.6  23  4 2 0
45.9  28  0 0 2
59.9  27  4 1 2
62.2  16  4 2 2
63.0  13  5 4 1